This entry pairs a crystal structure of V2GeRh5 with its simulated powder X-ray diffraction pattern. Radiation: Cu Kα (λ = 1.5418 Å). Structure: a cell relaxed with PBE.
Intensities are scaled so that the largest is 100.

The 10 most intense peaks (15° ≤ 2θ ≤ 90°), by angle:
| Position (°2θ) | d/Å | I (rel.) | hkl |
| --- | --- | --- | --- |
| 40.60 | 2.222 | 70 | 2 0 1 |
| 41.24 | 2.189 | 100 | 0 4 1 |
| 41.54 | 2.174 | 39 | 2 1 1 |
| 42.28 | 2.138 | 19 | 2 3 0 |
| 46.19 | 1.965 | 39 | 0 0 2 |
| 48.32 | 1.884 | 39 | 2 4 0 |
| 69.06 | 1.360 | 26 | 2 4 2 |
| 80.13 | 1.198 | 11 | 4 3 1 |
| 82.15 | 1.173 | 13 | 0 4 3 |
| 85.71 | 1.133 | 11 | 2 8 1 |

Cell and atoms:
```
data_V2GeRh5
_chemical_formula_sum 'V4 Ge2 Rh10'
_symmetry_space_group_name_H-M 'P 1'
_symmetry_Int_Tables_number 1
_symmetry_space_group_name_Hall 'P 1'
_cell_length_a 5.3867
_cell_length_b 10.5427
_cell_length_c 3.9310
_cell_angle_alpha 90.00
_cell_angle_beta 90.00
_cell_angle_gamma 90.00
loop_
_atom_site_label
_atom_site_type_symbol
_atom_site_fract_x
_atom_site_fract_y
_atom_site_fract_z
_atom_site_occupancy
V1 V 0.1770 0.1428 0.0000 1
V2 V 0.3230 0.6428 0.0000 1
V3 V 0.6770 0.3572 0.0000 1
V4 V 0.8230 0.8572 0.0000 1
Ge1 Ge 0.0000 0.5000 0.5000 1
Ge2 Ge 0.5000 0.0000 0.5000 1
Rh1 Rh 0.0000 0.0000 0.5000 1
Rh2 Rh 0.0651 0.7436 0.5000 1
Rh3 Rh 0.1962 0.3903 0.0000 1
Rh4 Rh 0.3038 0.8903 0.0000 1
Rh5 Rh 0.4349 0.2436 0.5000 1
Rh6 Rh 0.5000 0.5000 0.5000 1
Rh7 Rh 0.5651 0.7564 0.5000 1
Rh8 Rh 0.6962 0.1097 0.0000 1
Rh9 Rh 0.8038 0.6097 0.0000 1
Rh10 Rh 0.9349 0.2564 0.5000 1
```